# 1
Starting from a GGA-PBE-relaxed structure, the powder diffraction line list of MgSeF6 was computed for Cu Kα, 1.54184 Å.
Neutral-atom scattering factors, no anomalous dispersion.

Cell and atoms:
abc: 5.3326 5.5129 9.3443
angles: 90.00 124.76 90.00
Space group P2_1/c (No. 14)
Inequivalent atoms, fractional coordinates:
Mg 0.0000 0.0000 0.0000 (multiplicity 2)
Se 0.5000 0.0000 0.5000 (multiplicity 2)
F 0.1564 0.1999 0.4518 (multiplicity 4)
F 0.2559 0.7076 0.4519 (multiplicity 4)
F 0.3511 0.0176 0.2542 (multiplicity 4)

Largest 12 diffraction maxima, most intense first, 2θ = 10–90°:
- hkl 0 0 2, 23.20 deg, intensity 100
- hkl 2 2 0, 53.41 deg, intensity 26
- hkl 0 0 4, 47.42 deg, intensity 23
- hkl 0 1 1, 19.83 deg, intensity 18
- hkl 1 0 0, 20.28 deg, intensity 17
- hkl 1 1 1, 33.03 deg, intensity 14
- hkl 1 0 -4, 39.05 deg, intensity 9
- hkl 1 3 -1, 52.68 deg, intensity 9
- hkl 1 2 0, 38.59 deg, intensity 9
- hkl 3 1 -1, 59.73 deg, intensity 8
- hkl 2 1 -1, 39.32 deg, intensity 8
- hkl 2 2 2, 69.29 deg, intensity 6

# 2
Starting from a GGA-PBE-relaxed structure, the powder diffraction line list of Mg2SiF8 was computed for Cu Kα, 1.54184 Å.
Neutral-atom scattering factors, no anomalous dispersion.

Cell and atoms:
abc: 8.8209 6.4711 4.2064
angles: 90.00 91.39 90.00
Space group C2/m (No. 12)
Inequivalent atoms, fractional coordinates:
Mg 0.1253 0.0000 0.2543 (multiplicity 4)
Si 0.0000 0.5000 0.0000 (multiplicity 2)
F 0.0913 0.3117 0.2187 (multiplicity 8)
F 0.1019 0.0000 0.7448 (multiplicity 4)
F 0.1520 0.5000 0.7542 (multiplicity 4)

Largest 12 diffraction maxima, most intense first, 2θ = 10–90°:
- hkl 4 0 0, 40.96 deg, intensity 100
- hkl 0 2 0, 27.57 deg, intensity 90
- hkl 1 1 1, 27.43 deg, intensity 73
- hkl 2 0 0, 20.14 deg, intensity 71
- hkl 0 0 2, 43.02 deg, intensity 68
- hkl 2 0 -1, 28.99 deg, intensity 49
- hkl 4 0 -2, 60.07 deg, intensity 33
- hkl 1 3 1, 48.66 deg, intensity 33
- hkl 0 0 1, 21.13 deg, intensity 32
- hkl 0 4 0, 56.93 deg, intensity 27
- hkl 5 3 0, 68.75 deg, intensity 27
- hkl 1 3 0, 43.18 deg, intensity 27